(1)
The following is a simulated powder X-ray diffraction pattern of HoEr2Cd5. It was derived from a structure optimized by DFT (PBE), using Cu Kα, 1.54184 Å.

Structure:
```
data_HoEr2Cd5
_cell_length_a 5.104
_cell_length_b 5.104
_cell_length_c 14.905
_cell_angle_alpha 90.00
_cell_angle_beta 90.00
_cell_angle_gamma 90.00
_space_group_name_H-M_alt 'P 1'
_space_group_IT_number 1
loop_
_space_group_symop_operation_xyz
'x,y,z'
loop_
_atom_site_label
_atom_site_type_symbol
_atom_site_fract_x
_atom_site_fract_y
_atom_site_fract_z
Ho1 Ho 0.000 0.000 0.000
Ho2 Ho 0.500 0.500 0.500
Er1 Er 0.000 0.000 0.260
Er2 Er 0.000 0.000 0.740
Er3 Er 0.500 0.500 0.240
Er4 Er 0.500 0.500 0.760
Cd1 Cd 0.000 0.000 0.500
Cd2 Cd 0.000 0.500 0.121
Cd3 Cd 0.000 0.500 0.379
Cd4 Cd 0.000 0.500 0.621
Cd5 Cd 0.000 0.500 0.879
Cd6 Cd 0.500 0.000 0.121
Cd7 Cd 0.500 0.000 0.379
Cd8 Cd 0.500 0.000 0.621
Cd9 Cd 0.500 0.000 0.879
Cd10 Cd 0.500 0.500 0.000
```

Peak list (10 most intense, 2θ from 10° to 90°, in order of rising 2θ)
2theta, Rel. int., hkl
34.6, 100, 1 1 4
35.2, 49, 2 0 0
48.9, 9, 0 0 8
50.6, 17, 2 2 0
61.6, 17, 2 0 8
62.7, 35, 3 1 4
73.0, 10, 2 2 8
82.1, 7, 1 1 12
84.7, 8, 3 3 4
85.0, 8, 4 2 0

(2)
The following is a simulated powder X-ray diffraction pattern of BeNi2. It was derived from a structure optimized by DFT (PBE), using Cu Kα, 1.54184 Å.

Structure:
```
data_BeNi2
_cell_length_a 2.460
_cell_length_b 4.005
_cell_length_c 6.182
_cell_angle_alpha 90.00
_cell_angle_beta 90.00
_cell_angle_gamma 90.00
_space_group_name_H-M_alt 'P 1'
_space_group_IT_number 1
loop_
_space_group_symop_operation_xyz
'x,y,z'
loop_
_atom_site_label
_atom_site_type_symbol
_atom_site_fract_x
_atom_site_fract_y
_atom_site_fract_z
Be1 Be 0.000 0.000 0.000
Be2 Be 0.500 0.500 0.500
Ni1 Ni 0.000 0.500 0.197
Ni2 Ni 0.000 0.500 0.803
Ni3 Ni 0.500 0.000 0.303
Ni4 Ni 0.500 0.000 0.697
```

Peak list (10 most intense, 2θ from 10° to 90°, in order of rising 2θ)
2theta, Rel. int., hkl
26.5, 32, 0 1 1
28.9, 92, 0 0 2
39.4, 20, 1 0 1
43.2, 100, 1 1 0
45.3, 52, 0 2 0
49.8, 55, 0 1 3
52.8, 81, 1 1 2
54.6, 29, 0 2 2
58.4, 26, 1 0 3
76.9, 22, 1 2 3